Diffraction record for CdIrO3. The powder X-ray diffraction pattern is simulated, not measured: it uses a cell relaxed with GGA-PBE and a wavelength of 1.5418 Å.
Neutral-atom scattering factors, no anomalous dispersion.

Structural model:
abc: 5.655 5.655 6.505
angles: 99.77 99.77 39.45
Positions (direct):
Cd 0.125 0.125 0.409
Cd 0.875 0.875 0.591
Ir 0.368 0.368 0.081
Ir 0.632 0.632 0.919
O 0.174 0.174 0.955
O 0.333 0.333 0.375
O 0.442 0.442 0.806
O 0.558 0.558 0.194
O 0.667 0.667 0.625
O 0.826 0.826 0.045

Peak list (6 most intense, 2θ from 10° to 80°, low angle first)
2θ (°)	I_rel
13.8	21
29.3	100
30.0	45
34.2	40
35.8	48
54.1	22